[1]
Theoretical powder XRD pattern of RbOsO3 for Cu Kα, from a DFT-relaxed cell (GGA-PBE, the Materials Project).
Lines closer than 0.1° are merged.

```
data_RbOsO3
_space_group_name_H-M_alt 'P 1'
_space_group_IT_number 1
_space_group_name_Hall 'P 1'
_cell_length_a 7.020
_cell_length_b 7.020
_cell_length_c 7.020
_cell_angle_alpha 46.39
_cell_angle_beta 46.39
_cell_angle_gamma 46.39
loop_
_atom_site_label
_atom_site_type_symbol
_atom_site_fract_x
_atom_site_fract_y
_atom_site_fract_z
_atom_site_occupancy
Rb1 Rb 0.136 0.136 0.136 1
Rb2 Rb 0.864 0.864 0.864 1
Os1 Os 0.334 0.334 0.334 1
Os2 Os 0.666 0.666 0.666 1
O1 O 0.055 0.648 0.468 1
O2 O 0.352 0.532 0.945 1
O3 O 0.468 0.055 0.648 1
O4 O 0.532 0.945 0.352 1
O5 O 0.648 0.468 0.055 1
O6 O 0.945 0.352 0.532 1
```

Peak list (10 most intense, 2θ = 10–80°, most intense first)
two_theta	I (rel.)
32.38	100
26.60	87
43.71	75
14.17	73
20.83	60
55.19	34
30.26	29
35.50	29
28.55	27
57.75	26


[2]
Theoretical powder XRD pattern of RbOsO3 for Cu Kα, from a DFT-relaxed cell (GGA-PBE, the Materials Project).
Lines closer than 0.1° are merged.

```
data_RbOsO3
_space_group_name_H-M_alt 'P 1'
_space_group_IT_number 1
_space_group_name_Hall 'P 1'
_cell_length_a 3.974
_cell_length_b 3.974
_cell_length_c 3.974
_cell_angle_alpha 90.00
_cell_angle_beta 90.00
_cell_angle_gamma 90.00
loop_
_atom_site_label
_atom_site_type_symbol
_atom_site_fract_x
_atom_site_fract_y
_atom_site_fract_z
_atom_site_occupancy
Rb1 Rb 0.000 0.000 0.000 1
Os1 Os 0.500 0.500 0.500 1
O1 O 0.000 0.500 0.500 1
O2 O 0.500 0.000 0.500 1
O3 O 0.500 0.500 0.000 1
```

Peak list (9 most intense, 2θ = 10–80°, most intense first)
two_theta	I (rel.)
31.85	100
56.74	40
45.66	29
22.37	25
66.55	18
75.68	18
51.41	11
71.18	5
39.27	2


[3]
Theoretical powder XRD pattern of Sr2ScOsO6 for Cu Kα, from a DFT-relaxed cell (GGA-PBE, the Materials Project).
Lines closer than 0.1° are merged.

```
data_Sr2ScOsO6
_space_group_name_H-M_alt 'P 1'
_space_group_IT_number 1
_space_group_name_Hall 'P 1'
_cell_length_a 5.724
_cell_length_b 5.724
_cell_length_c 5.724
_cell_angle_alpha 60.00
_cell_angle_beta 60.00
_cell_angle_gamma 60.00
loop_
_atom_site_label
_atom_site_type_symbol
_atom_site_fract_x
_atom_site_fract_y
_atom_site_fract_z
_atom_site_occupancy
Sr1 Sr 0.250 0.250 0.250 1
Sr2 Sr 0.750 0.750 0.750 1
Sc1 Sc 0.000 0.000 0.000 1
Os1 Os 0.500 0.500 0.500 1
O1 O 0.257 0.257 0.743 1
O2 O 0.257 0.743 0.257 1
O3 O 0.257 0.743 0.743 1
O4 O 0.743 0.257 0.257 1
O5 O 0.743 0.257 0.743 1
O6 O 0.743 0.743 0.257 1
```

Peak list (10 most intense, 2θ = 10–80°, most intense first)
two_theta	I (rel.)
31.25	100
55.62	40
44.78	33
18.99	33
65.19	20
36.82	18
74.07	17
49.05	8
21.96	7
59.32	7


[4]
Theoretical powder XRD pattern of Sn15Os3O14 for Cu Kα, from a DFT-relaxed cell (GGA-PBE, the Materials Project).
Lines closer than 0.1° are merged.

```
data_Sn15Os3O14
_space_group_name_H-M_alt 'P 1'
_space_group_IT_number 1
_space_group_name_Hall 'P 1'
_cell_length_a 7.260
_cell_length_b 7.260
_cell_length_c 13.154
_cell_angle_alpha 105.95
_cell_angle_beta 105.95
_cell_angle_gamma 59.57
loop_
_atom_site_label
_atom_site_type_symbol
_atom_site_fract_x
_atom_site_fract_y
_atom_site_fract_z
_atom_site_occupancy
Sn1 Sn 0.000 0.000 0.000 1
Sn2 Sn 0.279 0.759 0.758 1
Sn3 Sn 0.292 0.292 0.792 1
Sn4 Sn 0.337 0.337 0.499 1
Sn5 Sn 0.339 0.854 0.494 1
Sn6 Sn 0.426 0.945 0.266 1
Sn7 Sn 0.521 0.996 0.009 1
Sn8 Sn 0.529 0.529 0.031 1
Sn9 Sn 0.752 0.752 0.742 1
Sn10 Sn 0.759 0.279 0.758 1
Sn11 Sn 0.854 0.339 0.494 1
Sn12 Sn 0.864 0.864 0.539 1
Sn13 Sn 0.945 0.426 0.266 1
Sn14 Sn 0.945 0.945 0.261 1
Sn15 Sn 0.996 0.521 0.009 1
Os1 Os 0.138 0.138 0.885 1
Os2 Os 0.547 0.547 0.614 1
Os3 Os 0.734 0.734 0.151 1
O1 O 0.074 0.074 0.171 1
O2 O 0.086 0.593 0.735 1
O3 O 0.194 0.194 0.552 1
O4 O 0.203 0.667 0.035 1
O5 O 0.274 0.274 0.330 1
O6 O 0.275 0.826 0.326 1
O7 O 0.474 0.474 0.862 1
O8 O 0.544 0.973 0.452 1
O9 O 0.593 0.086 0.735 1
O10 O 0.667 0.203 0.035 1
O11 O 0.807 0.807 0.910 1
O12 O 0.826 0.275 0.326 1
O13 O 0.973 0.544 0.452 1
O14 O 0.973 0.973 0.446 1
```

Peak list (10 most intense, 2θ = 10–80°, most intense first)
two_theta	I (rel.)
33.18	100
50.27	94
30.95	91
18.49	86
50.65	65
32.94	63
28.61	58
30.82	56
50.61	54
28.45	52


[5]
Theoretical powder XRD pattern of TbOsO3 for Cu Kα, from a DFT-relaxed cell (GGA-PBE, the Materials Project).
Lines closer than 0.1° are merged.

```
data_TbOsO3
_space_group_name_H-M_alt 'P 1'
_space_group_IT_number 1
_space_group_name_Hall 'P 1'
_cell_length_a 3.964
_cell_length_b 3.964
_cell_length_c 3.964
_cell_angle_alpha 90.00
_cell_angle_beta 90.00
_cell_angle_gamma 90.00
loop_
_atom_site_label
_atom_site_type_symbol
_atom_site_fract_x
_atom_site_fract_y
_atom_site_fract_z
_atom_site_occupancy
Tb1 Tb 0.000 0.000 0.000 1
Os1 Os 0.500 0.500 0.500 1
O1 O 0.000 0.500 0.500 1
O2 O 0.500 0.000 0.500 1
O3 O 0.500 0.500 0.000 1
```

Peak list (7 most intense, 2θ = 10–80°, most intense first)
two_theta	I (rel.)
31.93	100
56.90	40
45.78	26
75.91	18
66.75	17
22.43	2
51.56	1


[6]
Theoretical powder XRD pattern of YOsO3 for Cu Kα, from a DFT-relaxed cell (GGA-PBE, the Materials Project).
Lines closer than 0.1° are merged.

```
data_YOsO3
_space_group_name_H-M_alt 'P 1'
_space_group_IT_number 1
_space_group_name_Hall 'P 1'
_cell_length_a 3.964
_cell_length_b 3.964
_cell_length_c 3.964
_cell_angle_alpha 90.00
_cell_angle_beta 90.00
_cell_angle_gamma 90.00
loop_
_atom_site_label
_atom_site_type_symbol
_atom_site_fract_x
_atom_site_fract_y
_atom_site_fract_z
_atom_site_occupancy
Y1 Y 0.000 0.000 0.000 1
Os1 Os 0.500 0.500 0.500 1
O1 O 0.000 0.500 0.500 1
O2 O 0.500 0.000 0.500 1
O3 O 0.500 0.500 0.000 1
```

Peak list (9 most intense, 2θ = 10–80°, most intense first)
two_theta	I (rel.)
31.93	100
56.89	40
45.78	28
22.43	22
66.74	17
75.90	17
51.55	10
71.38	5
39.37	1


[7]
Theoretical powder XRD pattern of ZrOsO3 for Cu Kα, from a DFT-relaxed cell (GGA-PBE, the Materials Project).
Lines closer than 0.1° are merged.

```
data_ZrOsO3
_space_group_name_H-M_alt 'P 1'
_space_group_IT_number 1
_space_group_name_Hall 'P 1'
_cell_length_a 3.926
_cell_length_b 3.926
_cell_length_c 3.926
_cell_angle_alpha 90.00
_cell_angle_beta 90.00
_cell_angle_gamma 90.00
loop_
_atom_site_label
_atom_site_type_symbol
_atom_site_fract_x
_atom_site_fract_y
_atom_site_fract_z
_atom_site_occupancy
Zr1 Zr 0.000 0.000 0.000 1
Os1 Os 0.500 0.500 0.500 1
O1 O 0.000 0.500 0.500 1
O2 O 0.500 0.000 0.500 1
O3 O 0.500 0.500 0.000 1
```

Peak list (9 most intense, 2θ = 10–80°, most intense first)
two_theta	I (rel.)
32.24	100
57.50	40
46.24	28
22.65	21
67.47	17
76.76	17
52.09	9
72.18	4
39.76	1